Diffraction record for Ba6Y3Cu9O20. The powder diffractogram is theoretical, not measured: it uses the PBE geometry in Alexandria and Cu Kα (λ = 1.5418 Å).
No peak broadening, texture or thermal motion is included.

Largest 10 diffraction maxima, low angle first, 10 to 90 degrees two-theta:
2.800 Å, rel. 94; 2.769 Å, rel. 100; 2.753 Å, rel. 52; 2.751 Å, rel. 51; 2.265 Å, rel. 22; 1.968 Å, rel. 31; 1.925 Å, rel. 29; 1.614 Å, rel. 30; 1.604 Å, rel. 37; 1.586 Å, rel. 33

Structure:
```
Ba6Y3Cu9O20
1.0
5.5031 0.0000 0.0000
2.5692 8.2592 0.0000
2.6912 2.7525 11.9559
Ba Y Cu O
6 3 9 20
direct
0.0606 0.0606 0.3185
0.2618 0.2645 0.6904
0.3882 0.3911 0.3104
0.6118 0.6089 0.6896
0.7382 0.7355 0.3096
0.9394 0.9394 0.6815
0.1659 0.1659 0.0020
0.5000 0.5000 0.0000
0.8341 0.8341 0.9980
0.0492 0.5459 0.8601
0.1487 0.6757 0.4999
0.2890 0.7864 0.1396
0.3811 0.8810 0.8573
0.5000 0.0000 0.5000
0.6189 0.1190 0.1427
0.7110 0.2136 0.8604
0.8513 0.3243 0.5001
0.9508 0.4541 0.1399
0.0389 0.0419 0.8783
0.1269 0.6266 0.1199
0.1445 0.6052 0.6514
0.1777 0.1664 0.4999
0.2078 0.7064 0.8805
0.2451 0.7064 0.3485
0.2900 0.2933 0.1233
0.3726 0.3723 0.8817
0.4470 0.9474 0.6583
0.4610 0.9603 0.1193
0.5390 0.0397 0.8807
0.5530 0.0526 0.3417
0.6274 0.6277 0.1183
0.7100 0.7067 0.8767
0.7549 0.2936 0.6515
0.7922 0.2936 0.1195
0.8223 0.8336 0.5001
0.8555 0.3948 0.3486
0.8731 0.3734 0.8801
0.9611 0.9581 0.1217
```


Diffraction record for U2As2PdN2. The powder diffractogram is theoretical, not measured: it uses the PBE geometry in Alexandria and Cu Kα (λ = 1.5418 Å).
No peak broadening, texture or thermal motion is included.

Largest 10 diffraction maxima, low angle first, 10 to 90 degrees two-theta:
3.717 Å, rel. 17; 3.177 Å, rel. 100; 2.849 Å, rel. 61; 2.474 Å, rel. 24; 2.133 Å, rel. 38; 1.913 Å, rel. 38; 1.850 Å, rel. 14; 1.639 Å, rel. 15; 1.621 Å, rel. 14; 1.452 Å, rel. 17

Structure:
```
U2As2PdN2
1.0
3.8266 0.0000 0.0000
-1.9133 3.3139 0.0000
0.0000 0.0000 11.1516
U As Pd N
2 2 1 2
direct
0.3333 0.6667 0.1282
0.6667 0.3333 0.8718
0.0000 0.0000 0.2850
0.0000 0.0000 0.7150
0.0000 0.0000 0.5000
0.3333 0.6667 0.9275
0.6667 0.3333 0.0725
```


Diffraction record for Li4Mg2Sn. The powder diffractogram is theoretical, not measured: it uses the PBE geometry in Alexandria and Cu Kα (λ = 1.5418 Å).
No peak broadening, texture or thermal motion is included.

Largest 10 diffraction maxima, low angle first, 10 to 90 degrees two-theta:
4.856 Å, rel. 80; 4.524 Å, rel. 79; 3.778 Å, rel. 100; 3.030 Å, rel. 38; 2.476 Å, rel. 95; 2.407 Å, rel. 47; 2.383 Å, rel. 51; 2.264 Å, rel. 35; 1.673 Å, rel. 31; 1.369 Å, rel. 32

Structure:
```
Li4Mg2Sn
1.0
-1.5336 2.3259 9.7120
1.5336 -2.3259 9.7120
1.5336 2.3259 -9.7120
Li Mg Sn
4 2 1
direct
0.0657 0.0657 0.0000
0.3663 0.8663 0.5000
0.6337 0.1337 0.5000
0.9343 0.9343 0.0000
0.2090 0.7090 0.5000
0.7910 0.2910 0.5000
0.5000 0.5000 0.0000
```


Diffraction record for Dy3ErPu2S6. The powder diffractogram is theoretical, not measured: it uses the PBE geometry in Alexandria and Cu Kα (λ = 1.5418 Å).
No peak broadening, texture or thermal motion is included.

Largest 10 diffraction maxima, low angle first, 10 to 90 degrees two-theta:
3.209 Å, rel. 24; 3.192 Å, rel. 69; 2.768 Å, rel. 100; 1.961 Å, rel. 37; 1.954 Å, rel. 36; 1.668 Å, rel. 30; 1.596 Å, rel. 19; 1.240 Å, rel. 17; 1.236 Å, rel. 16; 1.129 Å, rel. 13

Structure:
```
Dy3ErPu2S6
1.0
3.3829 -5.8619 0.0000
3.3829 5.8619 0.0000
-2.2525 0.0000 6.4168
Dy Er Pu S
3 1 2 6
direct
0.0000 0.0000 0.0000
0.3323 0.6677 0.0000
0.6677 0.3323 0.0000
0.5000 0.5000 0.5000
0.1665 0.8335 0.5000
0.8335 0.1665 0.5000
0.0864 0.4165 0.2493
0.2544 0.2544 0.7527
0.4165 0.0864 0.2493
0.5835 0.9136 0.7507
0.7456 0.7456 0.2473
0.9136 0.5835 0.7507
```


Diffraction record for HfTlTcO6. The powder diffractogram is theoretical, not measured: it uses the PBE geometry in Alexandria and Cu Kα (λ = 1.5418 Å).
No peak broadening, texture or thermal motion is included.

Largest 10 diffraction maxima, low angle first, 10 to 90 degrees two-theta:
3.631 Å, rel. 100; 2.880 Å, rel. 10; 2.700 Å, rel. 35; 2.167 Å, rel. 22; 1.970 Å, rel. 35; 1.776 Å, rel. 12; 1.690 Å, rel. 23; 1.559 Å, rel. 10; 1.300 Å, rel. 9; 1.265 Å, rel. 9

Structure:
```
HfTlTcO6
1.0
5.4005 0.0000 0.0000
-2.7003 4.6770 0.0000
0.0000 0.0000 5.7602
Hf Tl Tc O
1 1 1 6
direct
0.0000 0.0000 0.0000
0.6667 0.3333 0.4491
0.3333 0.6667 0.9391
0.0722 0.3625 0.1577
0.0743 0.7241 0.7730
0.2759 0.3502 0.7730
0.2904 0.9278 0.1577
0.6375 0.7096 0.1577
0.6498 0.9257 0.7730
```


Diffraction record for Cs3Tl5Ga2. The powder diffractogram is theoretical, not measured: it uses the PBE geometry in Alexandria and Cu Kα (λ = 1.5418 Å).
No peak broadening, texture or thermal motion is included.

Largest 10 diffraction maxima, low angle first, 10 to 90 degrees two-theta:
3.358 Å, rel. 78; 3.341 Å, rel. 76; 3.205 Å, rel. 36; 2.911 Å, rel. 100; 2.360 Å, rel. 49; 2.142 Å, rel. 21; 2.066 Å, rel. 21; 2.050 Å, rel. 25; 1.757 Å, rel. 25; 1.750 Å, rel. 24

Structure:
```
Cs3Tl5Ga2
1.0
-5.7591 8.2045 4.1328
5.7591 -8.2045 4.1328
5.7591 8.2045 -4.1328
Cs Tl Ga
6 10 4
direct
0.1258 0.7408 0.8666
0.2500 0.2500 0.0000
0.3742 0.2408 0.6150
0.6258 0.7592 0.3850
0.7500 0.7500 0.0000
0.8742 0.2592 0.1334
0.0032 0.7500 0.2532
0.1231 0.3604 0.4835
0.2500 0.7500 0.5000
0.3769 0.8604 0.2373
0.4968 0.7500 0.7468
0.5032 0.2500 0.2532
0.6231 0.1396 0.7627
0.7500 0.2500 0.5000
0.8769 0.6396 0.5165
0.9968 0.2500 0.7468
0.1698 0.1254 0.2952
0.3302 0.6254 0.9557
0.6698 0.3746 0.0443
0.8302 0.8746 0.7048
```